Diffraction record for SiP4H28C10Cl4. The X-ray diffraction stick pattern is computed, not measured: it uses a DFT-relaxed cell (PBE, Alexandria) and Cu Kα, 1.54184 Å.
Lines closer than 0.1° are merged.

Principal peaks in the range 2θ from 5° to 70°, most intense first:
| (hkl) | 2theta | d (Å) | I (rel.) |
| --- | --- | --- | --- |
| 0 1 1 | 13.28 | 6.666 | 100 |
| 1 -1 0 | 15.95 | 5.558 | 90 |
| 0 0 1 | 9.53 | 9.279 | 73 |
| 1 0 1 | 15.08 | 5.875 | 61 |
| 0 1 0 | 9.81 | 9.014 | 34 |
| 2 -2 0 | 32.25 | 2.775 | 31 |

Crystal structure
Cell: 7.1072 9.0305 9.3291 Å, 86.57 85.10 89.41°
Element x y z (fractional)
Si 0.0000 0.0000 0.0000
P 0.1748 0.1223 0.7972
P 0.3895 0.4108 0.6783
P 0.6105 0.5892 0.3217
P 0.8252 0.8777 0.2028
H 0.0317 0.9353 0.3828
H 0.0748 0.4940 0.6159
H 0.0882 0.7592 0.3142
H 0.1152 0.2215 0.5588
H 0.1525 0.6013 0.7547
H 0.1794 0.3583 0.9050
H 0.2499 0.6321 0.5718
H 0.3092 0.9063 0.6872
H 0.3364 0.5458 0.1883
H 0.3861 0.3910 0.3069
H 0.3978 0.2621 0.9064
H 0.4307 0.0739 0.6201
H 0.4729 0.9885 0.7932
H 0.4763 0.5804 0.8616
H 0.5237 0.4196 0.1384
H 0.5271 0.0115 0.2068
H 0.5693 0.9261 0.3799
H 0.6022 0.7379 0.0936
H 0.6139 0.6090 0.6931
H 0.6636 0.4542 0.8117
H 0.6908 0.0937 0.3128
H 0.7501 0.3679 0.4282
H 0.8206 0.6417 0.0950
H 0.8475 0.3987 0.2453
H 0.8848 0.7785 0.4412
H 0.9118 0.2408 0.6858
H 0.9252 0.5060 0.3841
H 0.9683 0.0647 0.6172
C 0.0280 0.1676 0.6498
C 0.1974 0.5473 0.6547
C 0.2835 0.2954 0.8385
C 0.3662 0.0118 0.7165
C 0.4500 0.4756 0.2286
C 0.5500 0.5244 0.7714
C 0.6338 0.9882 0.2835
C 0.7165 0.7046 0.1615
C 0.8026 0.4527 0.3453
C 0.9720 0.8324 0.3502
Cl 0.1439 0.1313 0.1537
Cl 0.2171 0.8191 0.0178
Cl 0.7829 0.1809 0.9822
Cl 0.8561 0.8687 0.8463

---

Diffraction record for SnPH6CCl3. The X-ray diffraction stick pattern is computed, not measured: it uses a DFT-relaxed cell (PBE, Alexandria) and Cu Kα, 1.54184 Å.
Lines closer than 0.1° are merged.

Principal peaks in the range 2θ from 5° to 70°, most intense first:
| (hkl) | 2theta | d (Å) | I (rel.) |
| --- | --- | --- | --- |
| 0 0 1 | 14.77 | 5.998 | 100 |
| 0 1 -1 | 20.96 | 4.238 | 90 |
| 0 2 0 | 29.78 | 3.000 | 86 |
| 1 0 0 | 14.95 | 5.925 | 49 |
| 0 1 2 | 33.40 | 2.682 | 43 |
| 1 0 -1 | 19.37 | 4.583 | 34 |

Crystal structure
Cell: 5.9977 6.0062 6.0643 Å, 90.01 98.92 90.25°
Element x y z (fractional)
Sn 0.0000 0.0000 0.0000
P 0.6103 0.4911 0.3905
H 0.2447 0.5071 0.4917
H 0.4370 0.3584 0.6956
H 0.4464 0.6583 0.6865
H 0.5695 0.2982 0.2568
H 0.5846 0.6780 0.2478
H 0.8332 0.4859 0.5013
C 0.4160 0.5054 0.5868
Cl 0.4348 0.9968 0.9954
Cl 0.9091 0.9938 0.5764
Cl 0.9924 0.4307 0.0289

---

Diffraction record for SnPH6CCl3. The X-ray diffraction stick pattern is computed, not measured: it uses a DFT-relaxed cell (PBE, Alexandria) and Cu Kα, 1.54184 Å.
Lines closer than 0.1° are merged.

Principal peaks in the range 2θ from 5° to 70°, most intense first:
| (hkl) | 2theta | d (Å) | I (rel.) |
| --- | --- | --- | --- |
| 0 0 2 | 11.83 | 7.482 | 100 |
| 1 0 -1 | 12.51 | 7.078 | 84 |
| 1 0 1 | 12.93 | 6.848 | 76 |
| -2 2 1 | 31.52 | 2.838 | 27 |
| 1 0 -3 | 20.70 | 4.292 | 26 |
| 0 2 3 | 29.06 | 3.073 | 24 |

Crystal structure
Cell: 7.8822 8.0136 14.9832 Å, 91.70 92.20 93.38°
Element x y z (fractional)
Sn 0.0000 0.0000 0.0000
Sn 0.0042 0.5035 0.9887
Sn 0.4555 0.6882 0.4975
Sn 0.4700 0.1899 0.4981
P 0.0466 0.3874 0.2706
P 0.4353 0.3658 0.7812
P 0.5253 0.7988 0.1310
P 0.9169 0.9065 0.6131
H 0.0217 0.8938 0.5385
H 0.0306 0.4613 0.4262
H 0.0520 0.7043 0.6990
H 0.0900 0.5477 0.2392
H 0.1395 0.9112 0.7260
H 0.1969 0.3026 0.2790
H 0.2739 0.3123 0.7448
H 0.3108 0.9322 0.2090
H 0.4169 0.2468 0.9250
H 0.4179 0.5290 0.8165
H 0.4506 0.6368 0.1428
H 0.4814 0.8377 0.0424
H 0.4959 0.0713 0.1926
H 0.4982 0.1044 0.8435
H 0.5015 0.9175 0.2776
H 0.5518 0.3749 0.7114
H 0.6331 0.2732 0.8914
H 0.7046 0.7899 0.1381
H 0.7646 0.8093 0.5936
H 0.8291 0.4705 0.3660
H 0.8727 0.0736 0.6236
H 0.9046 0.2726 0.3949
H 0.9369 0.8418 0.7686
H 0.9392 0.3012 0.2041
C 0.0211 0.8345 0.7120
C 0.4504 0.9452 0.2108
C 0.5020 0.2343 0.8691
C 0.9434 0.3996 0.3748
Cl 0.0002 0.2812 0.8545
Cl 0.0087 0.7914 0.1401
Cl 0.2186 0.8492 0.4243
Cl 0.2309 0.6984 0.9204
Cl 0.2377 0.4923 0.5756
Cl 0.2395 0.3607 0.0815
Cl 0.4496 0.0192 0.6441
Cl 0.4744 0.5108 0.3513
Cl 0.7047 0.0041 0.4340
Cl 0.7053 0.3878 0.5771
Cl 0.7635 0.8098 0.9190
Cl 0.7710 0.1665 0.0792

---

Diffraction record for ZnPH6CCl3. The X-ray diffraction stick pattern is computed, not measured: it uses a DFT-relaxed cell (PBE, Alexandria) and Cu Kα, 1.54184 Å.
Lines closer than 0.1° are merged.

Principal peaks in the range 2θ from 5° to 70°, most intense first:
| (hkl) | 2theta | d (Å) | I (rel.) |
| --- | --- | --- | --- |
| 0 0 2 | 11.53 | 7.676 | 100 |
| 0 1 -1 | 11.89 | 7.446 | 72 |
| 0 1 1 | 12.82 | 6.903 | 59 |
| 1 2 -2 | 27.90 | 3.198 | 30 |
| 1 -1 2 | 19.92 | 4.458 | 27 |
| 0 1 3 | 21.38 | 4.157 | 24 |

Crystal structure
Cell: 6.8393 8.1559 15.4465 Å, 94.93 93.53 94.80°
Element x y z (fractional)
Zn 0.0000 0.0000 0.0000
Zn 0.0247 0.4265 0.5937
Zn 0.3933 0.4545 0.4755
Zn 0.4842 0.8442 0.0657
P 0.3082 0.3835 0.2281
P 0.3774 0.8923 0.7523
P 0.7392 0.4500 0.9354
P 0.9283 0.9459 0.4491
H 0.0769 0.7628 0.3503
H 0.0914 0.3782 0.1013
H 0.1016 0.0512 0.4690
H 0.1832 0.5850 0.1413
H 0.2149 0.7723 0.7444
H 0.2212 0.2539 0.2709
H 0.2821 0.0425 0.6335
H 0.3375 0.0172 0.8160
H 0.3969 0.5046 0.2929
H 0.4227 0.8732 0.5998
H 0.4555 0.3164 0.1803
H 0.5452 0.0598 0.6544
H 0.5490 0.8255 0.7833
H 0.5887 0.5583 0.9448
H 0.6165 0.3390 0.7927
H 0.6898 0.3102 0.9803
H 0.7695 0.0459 0.4475
H 0.8134 0.7505 0.3285
H 0.8139 0.4955 0.7898
H 0.8662 0.2927 0.8167
H 0.9094 0.8383 0.5158
H 0.9171 0.5263 0.9753
H 0.9658 0.9202 0.2951
H 0.9930 0.4786 0.1959
C 0.1250 0.4647 0.1600
C 0.4102 0.9754 0.6498
C 0.7619 0.3874 0.8226
C 0.9475 0.8334 0.3451
Cl 0.0417 0.4151 0.4404
Cl 0.1595 0.2268 0.9542
Cl 0.1939 0.9386 0.1238
Cl 0.3508 0.7343 0.9342
Cl 0.3753 0.4648 0.6256
Cl 0.4775 0.7003 0.4259
Cl 0.5006 0.2253 0.4111
Cl 0.6136 0.6492 0.1420
Cl 0.7148 0.0744 0.0782
Cl 0.8650 0.8277 0.8881
Cl 0.9072 0.6610 0.6430
Cl 0.9253 0.1760 0.6322

---

Diffraction record for ZnPH6CCl3. The X-ray diffraction stick pattern is computed, not measured: it uses a DFT-relaxed cell (PBE, Alexandria) and Cu Kα, 1.54184 Å.
Lines closer than 0.1° are merged.

Principal peaks in the range 2θ from 5° to 70°, most intense first:
| (hkl) | 2theta | d (Å) | I (rel.) |
| --- | --- | --- | --- |
| 0 0 2 | 11.73 | 7.546 | 100 |
| 0 1 -2 | 18.15 | 4.887 | 55 |
| 0 2 0 | 27.82 | 3.206 | 46 |
| 1 1 -2 | 29.32 | 3.046 | 30 |
| 0 0 4 | 23.58 | 3.773 | 30 |
| 1 0 2 | 24.84 | 3.584 | 25 |

Crystal structure
Cell: 3.9848 6.4127 15.1063 Å, 89.93 87.58 89.80°
Element x y z (fractional)
Zn 0.0000 0.0000 0.0000
Zn 0.0138 0.1422 0.5008
P 0.5530 0.5697 0.8308
P 0.5648 0.5736 0.3314
H 0.2292 0.4026 0.7211
H 0.2303 0.6838 0.7088
H 0.2398 0.7409 0.2214
H 0.2434 0.4596 0.2096
H 0.3059 0.5857 0.9011
H 0.3177 0.5573 0.4017
H 0.5842 0.5333 0.6720
H 0.5960 0.6096 0.1726
H 0.7503 0.7526 0.8326
H 0.7566 0.3935 0.8475
H 0.7638 0.3905 0.3333
H 0.7669 0.7495 0.3481
C 0.3803 0.5449 0.7231
C 0.3921 0.5984 0.2237
Cl 0.0774 0.0754 0.8533
Cl 0.0909 0.0657 0.3542
Cl 0.4875 0.1315 0.0654
Cl 0.5022 0.0112 0.5665
Cl 0.9448 0.6516 0.0194
Cl 0.9530 0.4906 0.5195